1.
For LaTb6Tm12, a DFT-relaxed cell (PBE, Alexandria) gives the computed X-ray diffraction stick pattern in this record (CuKα).
Intensities are scaled so that the largest is 100.

a = 8.4693 Å, b = 8.4693 Å, c = 8.4693 Å
α = 88.46°, β = 88.46°, γ = 88.46°
Atoms (fractional coordinates):
La  0.0000  0.0000  0.0000
Tb  0.0881  0.6803  0.2552
Tb  0.2552  0.0881  0.6803
Tb  0.3197  0.7448  0.9119
Tb  0.6803  0.2552  0.0881
Tb  0.7448  0.9119  0.3197
Tb  0.9119  0.3197  0.7448
Tm  0.0065  0.2197  0.3514
Tm  0.2197  0.3514  0.0065
Tm  0.2303  0.4530  0.5632
Tm  0.3514  0.0065  0.2197
Tm  0.4368  0.7697  0.5470
Tm  0.4530  0.5632  0.2303
Tm  0.5470  0.4368  0.7697
Tm  0.5632  0.2303  0.4530
Tm  0.6486  0.9935  0.7803
Tm  0.7697  0.5470  0.4368
Tm  0.7803  0.6486  0.9935
Tm  0.9935  0.7803  0.6486

Principal peaks in the range 2θ from 10° to 80°, most intense first:
32.09°, d 2.789, I 100; 33.21°, d 2.698, I 69; 30.95°, d 2.889, I 42; 33.75°, d 2.656, I 25; 31.72°, d 2.821, I 22; 56.13°, d 1.639, I 20; 58.87°, d 1.569, I 19; 35.25°, d 2.546, I 16; 45.54°, d 1.992, I 14; 56.56°, d 1.627, I 12



2.
For LaTb4Tm10, a DFT-relaxed cell (PBE, Alexandria) gives the computed X-ray diffraction stick pattern in this record (CuKα).
Intensities are scaled so that the largest is 100.

a = 9.6084 Å, b = 9.6084 Å, c = 9.6084 Å
α = 96.43°, β = 96.43°, γ = 140.88°
Atoms (fractional coordinates):
La  0.0000  0.0000  0.0000
Tb  0.3266  0.5675  0.8941
Tb  0.4325  0.3266  0.7591
Tb  0.5675  0.6734  0.2409
Tb  0.6734  0.4325  0.1059
Tm  0.0420  0.8799  0.4214
Tm  0.1201  0.5415  0.1621
Tm  0.2500  0.7500  0.5000
Tm  0.3794  0.9580  0.8379
Tm  0.4585  0.6206  0.5786
Tm  0.5415  0.3794  0.4214
Tm  0.6206  0.0420  0.1621
Tm  0.7500  0.2500  0.5000
Tm  0.8799  0.4585  0.8379
Tm  0.9580  0.1201  0.5786

Principal peaks in the range 2θ from 10° to 80°, most intense first:
31.24°, d 2.863, I 100; 35.65°, d 2.519, I 81; 29.47°, d 3.031, I 56; 35.76°, d 2.511, I 40; 29.60°, d 3.018, I 35; 45.84°, d 1.979, I 34; 42.27°, d 2.138, I 33; 28.71°, d 3.109, I 29; 53.48°, d 1.713, I 28; 21.95°, d 4.049, I 28



3.
For La4Tb8Tm, a DFT-relaxed cell (PBE, Alexandria) gives the computed X-ray diffraction stick pattern in this record (CuKα).
Intensities are scaled so that the largest is 100.

a = 7.8168 Å, b = 7.8168 Å, c = 7.8168 Å
α = 90.23°, β = 90.23°, γ = 90.23°
Atoms (fractional coordinates):
La  0.0000  0.0000  0.0000
La  0.0000  0.5000  0.5000
La  0.5000  0.0000  0.5000
La  0.5000  0.5000  0.0000
Tb  0.2391  0.2391  0.2391
Tb  0.2387  0.2387  0.7589
Tb  0.2387  0.7589  0.2387
Tb  0.2411  0.7613  0.7613
Tb  0.7589  0.2387  0.2387
Tb  0.7613  0.2411  0.7613
Tb  0.7613  0.7613  0.2411
Tb  0.7609  0.7609  0.7609
Tm  0.5000  0.5000  0.5000

Principal peaks in the range 2θ from 10° to 80°, most intense first:
32.33°, d 2.769, I 100; 32.46°, d 2.758, I 98; 57.71°, d 1.597, I 55; 46.47°, d 1.954, I 36; 22.75°, d 3.908, I 18; 57.99°, d 1.590, I 18; 77.07°, d 1.237, I 15; 77.29°, d 1.234, I 15; 19.64°, d 4.519, I 13; 25.48°, d 3.495, I 12



4.
For La4TbTm2, a DFT-relaxed cell (PBE, Alexandria) gives the computed X-ray diffraction stick pattern in this record (CuKα).
Intensities are scaled so that the largest is 100.

a = 12.7214 Å, b = 6.8617 Å, c = 13.6995 Å
α = 67.18°, β = 29.81°, γ = 83.01°
Atoms (fractional coordinates):
La  0.1464  0.2927  0.0654
La  0.1846  0.7546  0.1036
La  0.2927  0.1464  0.4954
La  0.3807  0.6193  0.4756
La  0.6193  0.3807  0.5244
La  0.7256  0.7744  0.6307
La  0.7546  0.1846  0.9573
La  0.7744  0.7256  0.8693
Tb  0.0010  0.0010  0.9990
Tb  0.2510  0.2510  0.2490
Tm  0.2090  0.6887  0.3557
Tm  0.5034  0.8943  0.5613
Tm  0.6887  0.2090  0.7466
Tm  0.8943  0.5034  0.0410

Principal peaks in the range 2θ from 10° to 80°, most intense first:
29.82°, d 2.996, I 100; 31.19°, d 2.868, I 65; 31.84°, d 2.811, I 29; 36.64°, d 2.452, I 29; 30.49°, d 2.932, I 27; 32.05°, d 2.793, I 22; 49.93°, d 1.826, I 21; 54.40°, d 1.686, I 16; 28.27°, d 3.157, I 15; 59.81°, d 1.546, I 14



5.
For La11Tb9Tm4, a DFT-relaxed cell (PBE, Alexandria) gives the computed X-ray diffraction stick pattern in this record (CuKα).
Intensities are scaled so that the largest is 100.

a = 15.6097 Å, b = 15.6097 Å, c = 3.6918 Å
α = 90.00°, β = 90.00°, γ = 113.03°
Atoms (fractional coordinates):
La  0.0000  0.0000  0.0000
La  0.0426  0.4040  0.0000
La  0.1603  0.8397  0.0000
La  0.2937  0.2937  0.0000
La  0.3689  0.6311  0.0000
La  0.4040  0.0426  0.0000
La  0.5960  0.9574  0.0000
La  0.6311  0.3689  0.0000
La  0.7063  0.7063  0.0000
La  0.8397  0.1603  0.0000
La  0.9574  0.5960  0.0000
Tb  0.0697  0.2144  0.5000
Tb  0.1665  0.6303  0.5000
Tb  0.2144  0.0697  0.5000
Tb  0.3697  0.8335  0.5000
Tb  0.5000  0.5000  0.5000
Tb  0.6303  0.1665  0.5000
Tb  0.7856  0.9303  0.5000
Tb  0.8335  0.3697  0.5000
Tb  0.9303  0.7856  0.5000
Tm  0.2404  0.4446  0.5000
Tm  0.4446  0.2404  0.5000
Tm  0.5554  0.7596  0.5000
Tm  0.7596  0.5554  0.5000

Principal peaks in the range 2θ from 10° to 80°, most intense first:
31.93°, d 2.803, I 100; 29.22°, d 3.057, I 85; 31.82°, d 2.812, I 82; 30.58°, d 2.924, I 32; 29.69°, d 3.009, I 30; 31.35°, d 2.853, I 28; 58.41°, d 1.580, I 27; 49.37°, d 1.846, I 22; 59.66°, d 1.550, I 21; 31.14°, d 2.872, I 17



6.
For LaTb5Tm3, a DFT-relaxed cell (PBE, Alexandria) gives the computed X-ray diffraction stick pattern in this record (CuKα).
Intensities are scaled so that the largest is 100.

a = 8.7250 Å, b = 8.7250 Å, c = 11.4242 Å
α = 106.27°, β = 106.27°, γ = 45.15°
Atoms (fractional coordinates):
La  0.2280  0.7720  0.7500
La  0.7720  0.2280  0.2500
Tb  0.0584  0.2939  0.8749
Tb  0.2939  0.0584  0.3749
Tb  0.3180  0.6820  0.2500
Tb  0.3848  0.3976  0.4540
Tb  0.3976  0.3848  0.9540
Tb  0.6024  0.6152  0.0460
Tb  0.6152  0.6024  0.5460
Tb  0.6820  0.3180  0.7500
Tb  0.7061  0.9416  0.6251
Tb  0.9416  0.7061  0.1251
Tm  0.0000  0.0000  0.0000
Tm  0.0000  0.0000  0.5000
Tm  0.1433  0.3779  0.6425
Tm  0.3779  0.1433  0.1425
Tm  0.6221  0.8567  0.8575
Tm  0.8567  0.6221  0.3575

Principal peaks in the range 2θ from 10° to 80°, most intense first:
31.36°, d 2.852, I 100; 31.72°, d 2.821, I 94; 31.22°, d 2.865, I 49; 30.45°, d 2.936, I 39; 32.36°, d 2.766, I 29; 32.06°, d 2.791, I 20; 44.27°, d 2.046, I 18; 56.88°, d 1.619, I 17; 56.23°, d 1.636, I 16; 23.17°, d 3.839, I 16



7.
For La8Tb5Tm, a DFT-relaxed cell (PBE, Alexandria) gives the computed X-ray diffraction stick pattern in this record (CuKα).
Intensities are scaled so that the largest is 100.

a = 7.8470 Å, b = 7.8470 Å, c = 10.2726 Å
α = 118.00°, β = 118.00°, γ = 76.34°
Atoms (fractional coordinates):
La  0.0468  0.0468  0.1936
La  0.0568  0.6614  0.2925
La  0.1173  0.4040  0.9381
La  0.3386  0.9432  0.7075
La  0.4697  0.1588  0.5577
La  0.5960  0.8827  0.0619
La  0.8412  0.5303  0.4423
La  0.9532  0.9532  0.8064
Tb  0.2600  0.5395  0.7464
Tb  0.4268  0.3010  0.2676
Tb  0.4605  0.7400  0.2536
Tb  0.6990  0.5732  0.7324
Tb  0.8848  0.1152  0.5000
Tm  0.6534  0.3466  0.0000

Principal peaks in the range 2θ from 10° to 80°, most intense first:
31.98°, d 2.799, I 100; 29.07°, d 3.072, I 63; 29.52°, d 3.026, I 55; 28.95°, d 3.085, I 38; 35.74°, d 2.512, I 37; 30.96°, d 2.888, I 30; 28.58°, d 3.123, I 17; 55.46°, d 1.657, I 17; 28.69°, d 3.112, I 17; 58.42°, d 1.580, I 15



8.
For LaTb12Tm2, a DFT-relaxed cell (PBE, Alexandria) gives the computed X-ray diffraction stick pattern in this record (CuKα).
Intensities are scaled so that the largest is 100.

a = 6.3919 Å, b = 6.3919 Å, c = 25.2164 Å
α = 90.00°, β = 90.00°, γ = 90.00°
Atoms (fractional coordinates):
La  0.2500  0.7500  0.0000
La  0.7500  0.2500  0.0000
Tb  0.0676  0.5676  0.1194
Tb  0.0676  0.9324  0.8806
Tb  0.0816  0.5816  0.4391
Tb  0.0816  0.9184  0.5609
Tb  0.2500  0.2500  0.2187
Tb  0.2500  0.2500  0.3403
Tb  0.2500  0.2500  0.6597
Tb  0.2500  0.2500  0.7813
Tb  0.4184  0.5816  0.5609
Tb  0.4184  0.9184  0.4391
Tb  0.4324  0.5676  0.8806
Tb  0.4324  0.9324  0.1194
Tb  0.5676  0.0676  0.8806
Tb  0.5676  0.4324  0.1194
Tb  0.5816  0.0816  0.5609
Tb  0.5816  0.4184  0.4391
Tb  0.7500  0.7500  0.2187
Tb  0.7500  0.7500  0.3403
Tb  0.7500  0.7500  0.6597
Tb  0.7500  0.7500  0.7813
Tb  0.9184  0.0816  0.4391
Tb  0.9184  0.4184  0.5609
Tb  0.9324  0.0676  0.1194
Tb  0.9324  0.4324  0.8806
Tm  0.2500  0.7500  0.2771
Tm  0.2500  0.7500  0.7229
Tm  0.7500  0.2500  0.2771
Tm  0.7500  0.2500  0.7229

Principal peaks in the range 2θ from 10° to 80°, most intense first:
31.76°, d 2.817, I 100; 33.11°, d 2.706, I 80; 28.82°, d 3.098, I 70; 29.91°, d 2.987, I 58; 38.07°, d 2.364, I 53; 56.11°, d 1.639, I 50; 31.38°, d 2.851, I 49; 39.89°, d 2.260, I 46; 31.94°, d 2.802, I 43; 31.50°, d 2.840, I 32